Calculated PXRD pattern
Compound: Ir
Radiation: Cu Kα X-rays
Structure: a structure optimized by DFT (PBE)
Neutral-atom scattering factors, no anomalous dispersion.

Cell and atoms:
abc: 3.8757 3.8757 3.8757
angles: 90.00 90.00 90.00
Space group Fm-3m (No. 225)
Symmetry-distinct sites (fractional):
Ir: 0.0000 0.0000 0.0000 x4

Top 3 peaks for 2θ from 10° to 80°, in order of falling intensity:
(1 1 1), 2.238 Å, 40.31°, I 100.0; (2 0 0), 1.938 Å, 46.88°, I 49.0; (2 2 0), 1.370 Å, 68.47°, I 32.0